No. 1
For Ce2CoC, a PBE-relaxed structure gives the calculated PXRD pattern in this record (Cu Kα (weighted mean of Kα1 and Kα2)).

Structure:
```
data_Ce2CoC
_symmetry_space_group_name_H-M 'P n n a'
_symmetry_Int_Tables_number 52
_cell_length_a 5.825
_cell_length_b 5.084
_cell_length_c 9.121
_cell_angle_alpha 90.00
_cell_angle_beta 90.00
_cell_angle_gamma 90.00
loop_
_symmetry_equiv_pos_as_xyz
'x,y,z'
'-x,-y,-z'
'-x+1/2,-y,z'
'x+1/2,y,-z'
'x,-y+1/2,-z+1/2'
'-x,y+1/2,z+1/2'
'-x+1/2,y+1/2,-z+1/2'
'x+1/2,-y+1/2,z+1/2'
loop_
_atom_site_label
_atom_site_type_symbol
_atom_site_fract_x
_atom_site_fract_y
_atom_site_fract_z
Ce1 Ce 0.102 0.234 0.097
Co1 Co 0.128 0.250 0.750
C1 C 0.250 0.000 0.614
```

Top 12 peaks for 2θ from 15° to 90°, sorted by position:
| d (Å) | intensity | (hkl) |
| --- | --- | --- |
| 3.531 | 30.2 | 1 1 1 |
| 2.695 | 41.2 | 1 0 3 |
| 2.542 | 47.5 | 0 2 0 |
| 2.527 | 95.4 | 2 1 0 |
| 2.381 | 100.0 | 1 1 3 |
| 1.849 | 30.5 | 1 2 3 |
| 1.636 | 21.2 | 3 0 3 |
| 1.521 | 12.5 | 0 0 6 |
| 1.465 | 17.5 | 2 3 0 |
| 1.435 | 18.7 | 1 3 3 |
| 1.376 | 20.7 | 3 2 3 |
| 1.303 | 18.3 | 2 1 6 |



No. 2
For CeGa2Co2C, a PBE-relaxed structure gives the calculated PXRD pattern in this record (Cu Kα (weighted mean of Kα1 and Kα2)).

Structure:
```
data_CeGa2Co2C
_symmetry_space_group_name_H-M 'I 4/m m m'
_symmetry_Int_Tables_number 139
_symmetry_space_group_name_Hall '-I 4 2'
_cell_length_a 4.070
_cell_length_b 4.070
_cell_length_c 11.668
_cell_angle_alpha 90.00
_cell_angle_beta 90.00
_cell_angle_gamma 90.00
loop_
_atom_site_label
_atom_site_type_symbol
_atom_site_fract_x
_atom_site_fract_y
_atom_site_fract_z
Ce1 Ce 0.000 0.000 0.000
Ga1 Ga 0.000 0.500 0.250
Co1 Co 0.000 0.000 0.354
C1 C 0.000 0.000 0.500
```

Top 12 peaks for 2θ from 15° to 90°, sorted by position:
| d (Å) | intensity | (hkl) |
| --- | --- | --- |
| 2.917 | 16.6 | 0 0 4 |
| 2.878 | 14.8 | 1 1 0 |
| 2.812 | 100.0 | 1 0 3 |
| 2.581 | 93.4 | 1 1 2 |
| 2.035 | 58.0 | 2 0 0 |
| 2.024 | 14.0 | 1 0 5 |
| 1.669 | 12.7 | 2 0 4 |
| 1.648 | 39.6 | 2 1 3 |
| 1.611 | 44.7 | 1 1 6 |
| 1.439 | 18.0 | 2 2 0 |
| 1.257 | 18.6 | 3 1 2 |
| 1.185 | 13.8 | 2 0 8 |



Repeat the first record exactly.
For Ce2CoC, a PBE-relaxed structure gives the calculated PXRD pattern in this record (Cu Kα (weighted mean of Kα1 and Kα2)).

Structure:
```
data_Ce2CoC
_symmetry_space_group_name_H-M 'P n n a'
_symmetry_Int_Tables_number 52
_cell_length_a 5.825
_cell_length_b 5.084
_cell_length_c 9.121
_cell_angle_alpha 90.00
_cell_angle_beta 90.00
_cell_angle_gamma 90.00
loop_
_symmetry_equiv_pos_as_xyz
'x,y,z'
'-x,-y,-z'
'-x+1/2,-y,z'
'x+1/2,y,-z'
'x,-y+1/2,-z+1/2'
'-x,y+1/2,z+1/2'
'-x+1/2,y+1/2,-z+1/2'
'x+1/2,-y+1/2,z+1/2'
loop_
_atom_site_label
_atom_site_type_symbol
_atom_site_fract_x
_atom_site_fract_y
_atom_site_fract_z
Ce1 Ce 0.102 0.234 0.097
Co1 Co 0.128 0.250 0.750
C1 C 0.250 0.000 0.614
```

Top 12 peaks for 2θ from 15° to 90°, sorted by position:
| d (Å) | intensity | (hkl) |
| --- | --- | --- |
| 3.531 | 30.2 | 1 1 1 |
| 2.695 | 41.2 | 1 0 3 |
| 2.542 | 47.5 | 0 2 0 |
| 2.527 | 95.4 | 2 1 0 |
| 2.381 | 100.0 | 1 1 3 |
| 1.849 | 30.5 | 1 2 3 |
| 1.636 | 21.2 | 3 0 3 |
| 1.521 | 12.5 | 0 0 6 |
| 1.465 | 17.5 | 2 3 0 |
| 1.435 | 18.7 | 1 3 3 |
| 1.376 | 20.7 | 3 2 3 |
| 1.303 | 18.3 | 2 1 6 |